The following is a simulated XRD peak list of LiCr2CoF. It was derived from a cell relaxed with GGA+U, using Cu Kα (λ = 1.5418 Å).

Atomic structure:
```
data_LiCr2CoF
_chemical_formula_sum 'Li1 Cr2 Co1 F1'
_space_group_name_H-M_alt 'P 4/m m m'
_space_group_IT_number 123
_space_group_name_Hall '-P 4 2'
_cell_length_a 5.062
_cell_length_b 5.062
_cell_length_c 3.864
_cell_angle_alpha 90.00
_cell_angle_beta 90.00
_cell_angle_gamma 90.00
loop_
_atom_site_label
_atom_site_type_symbol
_atom_site_fract_x
_atom_site_fract_y
_atom_site_fract_z
Li1 Li 0.000 0.000 0.000
Cr1 Cr 0.000 0.500 0.500
Co1 Co 0.500 0.500 0.500
F1 F 0.500 0.500 0.000
```

Most intense lines, 10 to 90 degrees two-theta, by angle:
| d_spacing | I (rel.) | hkl |
| --- | --- | --- |
| 5.062 | 95.7 | 1 0 0 |
| 3.864 | 87.4 | 0 0 1 |
| 2.626 | 29.3 | 1 1 1 |
| 2.531 | 100.0 | 2 0 0 |
| 2.264 | 22.0 | 2 1 0 |
| 2.117 | 63.9 | 2 0 1 |
| 1.932 | 20.9 | 0 0 2 |
| 1.790 | 32.0 | 2 2 0 |
| 1.624 | 25.8 | 2 2 1 |
| 1.536 | 36.4 | 2 0 2 |